1.
Diffraction record for Rb2CoCl4. The PXRD pattern is simulated, not measured: it uses DFT lattice parameters and positions (PBE) and copper Kα.

Principal peaks in the range 2θ = 10–90°, low angle first:
20.6 deg, I = 46, (1 2 1)
23.5 deg, I = 61, (2 1 1)
23.9 deg, I = 100, (0 3 1)
24.1 deg, I = 98, (0 0 2)
27.6 deg, I = 41, (0 4 0)
28.1 deg, I = 33, (2 3 0)
29.4 deg, I = 94, (3 1 0)
31.6 deg, I = 81, (2 1 2)
31.8 deg, I = 69, (3 1 1)
37.4 deg, I = 37, (2 3 2)

```
data_Rb2CoCl4
_chemical_formula_sum 'Rb8 Co4 Cl16'
_cell_length_a 9.381
_cell_length_b 12.933
_cell_length_c 7.387
_cell_angle_alpha 90.00
_cell_angle_beta 90.00
_cell_angle_gamma 90.00
_space_group_name_H-M_alt 'P n a 21'
_space_group_IT_number 33
_space_group_name_Hall 'P 2c -2n'
loop_
_atom_site_label
_atom_site_type_symbol
_atom_site_fract_x
_atom_site_fract_y
_atom_site_fract_z
Rb1 Rb 0.011 0.178 0.000
Rb2 Rb 0.130 0.409 0.501
Co1 Co 0.223 0.078 0.500
Cl1 Cl 0.016 0.919 0.006
Cl2 Cl 0.177 0.418 0.005
Cl3 Cl 0.187 0.654 0.750
Cl4 Cl 0.193 0.665 0.243
```

=====

2.
Diffraction record for Rb3CoCl5. The PXRD pattern is simulated, not measured: it uses DFT lattice parameters and positions (PBE) and copper Kα.

Principal peaks in the range 2θ = 10–90°, low angle first:
23.4 deg, I = 54, (2 0 2)
24.8 deg, I = 21, (0 0 4)
28.1 deg, I = 27, (2 2 0)
29.0 deg, I = 100, (2 1 3)
31.5 deg, I = 37, (3 1 0)
37.8 deg, I = 21, (2 2 4)
42.8 deg, I = 15, (2 0 6)
45.1 deg, I = 16, (4 2 0)
45.8 deg, I = 14, (4 1 3)
58.1 deg, I = 14, (4 4 0)

```
data_Rb3CoCl5
_chemical_formula_sum 'Rb12 Co4 Cl20'
_cell_length_a 8.983
_cell_length_b 8.983
_cell_length_c 14.354
_cell_angle_alpha 90.00
_cell_angle_beta 90.00
_cell_angle_gamma 90.00
_space_group_name_H-M_alt 'I 4/m c m'
_space_group_IT_number 140
_space_group_name_Hall '-I 4 2c'
loop_
_atom_site_label
_atom_site_type_symbol
_atom_site_fract_x
_atom_site_fract_y
_atom_site_fract_z
Rb1 Rb 0.000 0.000 0.250
Rb2 Rb 0.167 0.333 0.000
Co1 Co 0.000 0.500 0.250
Cl1 Cl 0.000 0.000 0.000
Cl2 Cl 0.141 0.359 0.345
```

=====

3.
Diffraction record for Sc7CoCl12. The PXRD pattern is simulated, not measured: it uses DFT lattice parameters and positions (PBE) and copper Kα.

Principal peaks in the range 2θ = 10–90°, low angle first:
12.2 deg, I = 22, (1 0 1)
13.2 deg, I = 50, (1 1 0)
29.3 deg, I = 10, (1 3 1)
33.8 deg, I = 100, (4 -1 2)
48.2 deg, I = 31, (1 3 4)
48.9 deg, I = 30, (5 2 0)
60.8 deg, I = 14, (2 6 2)
71.2 deg, I = 10, (8 -2 4)
80.6 deg, I = 9, (5 2 6)
81.7 deg, I = 11, (9 1 2)

```
data_Sc7CoCl12
_chemical_formula_sum 'Sc21 Co3 Cl36'
_cell_length_a 13.4191
_cell_length_b 13.4191
_cell_length_c 9.3082
_cell_angle_alpha 90.00
_cell_angle_beta 90.00
_cell_angle_gamma 120.00
_space_group_name_H-M_alt 'R -3'
_space_group_IT_number 148
_space_group_name_Hall '-R 3'
loop_
_atom_site_label
_atom_site_type_symbol
_atom_site_fract_x
_atom_site_fract_y
_atom_site_fract_z
Sc1 Sc 0.0000 0.0000 0.0000
Sc2 Sc 0.0432 0.8784 0.3554
Co1 Co 0.0000 0.0000 0.5000
Cl1 Cl 0.0240 0.4386 0.1547
Cl2 Cl 0.0466 0.8792 0.8377
```

=====

4.
Diffraction record for Tb6CoCl10. The PXRD pattern is simulated, not measured: it uses DFT lattice parameters and positions (PBE) and copper Kα.

Principal peaks in the range 2θ = 10–90°, low angle first:
11.0 deg, I = 100, (0 0 1)
11.5 deg, I = 96, (0 1 0)
12.4 deg, I = 55, (0 1 -1)
13.4 deg, I = 46, (1 0 0)
22.2 deg, I = 44, (0 0 2)
31.8 deg, I = 95, (2 0 1)
32.0 deg, I = 87, (1 1 -3)
32.6 deg, I = 83, (1 -3 0)
44.1 deg, I = 32, (3 -3 1)
46.3 deg, I = 31, (1 -1 4)

```
data_Tb6CoCl10
_chemical_formula_sum 'Tb6 Co1 Cl10'
_cell_length_a 7.119
_cell_length_b 8.758
_cell_length_c 8.802
_cell_angle_alpha 109.95
_cell_angle_beta 96.94
_cell_angle_gamma 107.02
_space_group_name_H-M_alt 'P -1'
_space_group_IT_number 2
_space_group_name_Hall '-P 1'
loop_
_atom_site_label
_atom_site_type_symbol
_atom_site_fract_x
_atom_site_fract_y
_atom_site_fract_z
Tb1 Tb 0.021 0.195 0.396
Tb2 Tb 0.133 0.550 0.254
Tb3 Tb 0.372 0.649 0.695
Co1 Co 0.000 0.500 0.500
Cl1 Cl 0.091 0.871 0.336
Cl2 Cl 0.200 0.238 0.144
Cl3 Cl 0.249 0.582 0.958
Cl4 Cl 0.366 0.969 0.782
Cl5 Cl 0.447 0.326 0.577
```

=====

5.
Diffraction record for TlCoCl3. The PXRD pattern is simulated, not measured: it uses DFT lattice parameters and positions (PBE) and copper Kα.

Principal peaks in the range 2θ = 10–90°, low angle first:
21.0 deg, I = 100, (1 2 1)
25.4 deg, I = 79, (0 4 0)
30.4 deg, I = 19, (2 0 0)
33.1 deg, I = 37, (1 0 4)
33.2 deg, I = 70, (1 4 2)
33.8 deg, I = 17, (2 2 1)
42.7 deg, I = 30, (2 4 2)
52.0 deg, I = 18, (0 4 6)
55.7 deg, I = 19, (3 0 4)
63.2 deg, I = 14, (4 0 0)

```
data_TlCoCl3
_chemical_formula_sum 'Tl8 Co8 Cl24'
_cell_length_a 5.889
_cell_length_b 14.016
_cell_length_c 12.200
_cell_angle_alpha 90.00
_cell_angle_beta 90.00
_cell_angle_gamma 90.00
_space_group_name_H-M_alt 'P b c a'
_space_group_IT_number 61
_space_group_name_Hall '-P 2ac 2ab'
loop_
_atom_site_label
_atom_site_type_symbol
_atom_site_fract_x
_atom_site_fract_y
_atom_site_fract_z
Tl1 Tl 0.249 0.123 0.082
Co1 Co 0.043 0.625 0.750
Cl1 Cl 0.204 0.244 0.829
Cl2 Cl 0.205 0.006 0.828
Cl3 Cl 0.206 0.125 0.591
```

=====

6.
Diffraction record for TlCoCl3. The PXRD pattern is simulated, not measured: it uses DFT lattice parameters and positions (PBE) and copper Kα.

Principal peaks in the range 2θ = 10–90°, low angle first:
20.9 deg, I = 100, (1 1 -1)
25.3 deg, I = 80, (0 2 0)
30.2 deg, I = 20, (0 0 2)
33.0 deg, I = 74, (4 0 -1)
33.1 deg, I = 37, (2 2 1)
33.7 deg, I = 29, (2 0 -2)
42.0 deg, I = 20, (4 2 -1)
42.6 deg, I = 19, (2 2 -2)
44.6 deg, I = 18, (3 3 0)
51.9 deg, I = 19, (6 2 0)

```
data_TlCoCl3
_chemical_formula_sum 'Tl4 Co4 Cl12'
_cell_length_a 12.217
_cell_length_b 7.036
_cell_length_c 5.914
_cell_angle_alpha 90.00
_cell_angle_beta 90.14
_cell_angle_gamma 90.00
_space_group_name_H-M_alt 'C 1 2/m 1'
_space_group_IT_number 12
_space_group_name_Hall '-C 2y'
loop_
_atom_site_label
_atom_site_type_symbol
_atom_site_fract_x
_atom_site_fract_y
_atom_site_fract_z
Tl1 Tl 0.171 0.000 0.241
Co1 Co 0.000 0.500 0.000
Co2 Co 0.000 0.500 0.500
Cl1 Cl 0.078 0.263 0.752
Cl2 Cl 0.160 0.500 0.253
```